(1)
The following is a theoretical X-ray powder pattern of Dy2In3Pd7. It was derived from a crystal structure in Alexandria, relaxed with PBE, using Cu Kα (λ = 1.5418 Å).
Peak positions follow from Bragg's law for the DFT cell and can differ from measured ones.

Structure:
```
12
Lattice="2.4268 -10.9446 0.0000 2.4268 10.9446 0.0000 0.0000 0.0000 4.6123" Properties=species:S:1:pos:R:3 pbc="T T T"
Dy 2.4268 7.5994 0.0000
Dy 2.4268 -7.5994 0.0000
In 0.0000 0.0000 0.0000
In 2.4268 3.0957 2.3062
In 2.4268 -3.0957 2.3062
Pd 2.4268 9.3679 2.3062
Pd 2.4268 4.6901 0.0000
Pd 2.4268 1.5440 0.0000
Pd 2.4268 0.0000 2.3062
Pd 2.4268 -1.5440 0.0000
Pd 2.4268 -4.6901 0.0000
Pd 2.4268 -9.3679 2.3062
```

Principal peaks in the range 2θ from 15° to 90°, in order of falling intensity:
2θ 39.46, I 100.0; 2θ 37.04, I 31.2; 2θ 39.06, I 26.9; 2θ 54.92, I 19.6; 2θ 68.38, I 19.2; 2θ 71.02, I 17.7


(2)
The following is a theoretical X-ray powder pattern of Li2B6O9F2. It was derived from a crystal structure in Alexandria, relaxed with PBE, using Cu Kα (λ = 1.5418 Å).
Peak positions follow from Bragg's law for the DFT cell and can differ from measured ones.

Structure:
```
38
Lattice="2.4423 -8.2251 0.0000 2.4423 8.2251 0.0000 -0.5963 0.0000 10.2688" Properties=species:S:1:pos:R:3 pbc="T T T"
Li 2.1442 7.6051 5.1344
Li 1.8457 3.9859 3.3905
Li 1.5475 -3.9859 8.5249
Li 2.4423 -7.6051 0.0000
B 1.3267 4.0241 0.4316
B 2.0178 6.7250 8.1172
B 0.8014 0.6190 7.5645
B 1.0996 -0.6190 2.4302
B 1.6979 2.2478 9.2145
B 2.1488 2.4528 6.8004
B 3.1439 2.6649 1.2725
B 1.0285 -4.0241 5.5660
B 1.9961 -2.2478 4.0801
B 2.4470 -2.4528 1.6660
B 2.8458 -2.6649 6.4069
B 2.3160 -6.7250 2.9828
O 0.6816 3.2922 9.5555
O 0.3958 0.4960 2.0402
O 0.0976 -0.4960 7.1746
O 0.9380 1.0297 8.8692
O 2.2609 3.7630 1.4154
O 1.3488 1.3659 6.5291
O 1.2362 -1.0297 3.7348
O 2.5335 3.2148 5.7158
O 1.6469 -1.3659 1.3947
O 2.5165 2.7652 8.0868
O 0.9798 -3.2922 4.4211
O 3.2033 1.9712 0.0894
O 3.8796 2.4401 2.3650
O 1.9627 -3.7630 6.5497
O 2.9052 -1.9712 5.2238
O 2.8147 -2.7652 2.9524
O 2.8317 -3.2148 0.5814
O 3.5815 -2.4401 7.4994
F 0.9608 2.2412 3.5579
F 0.6627 -2.2412 8.6923
F 4.0611 0.8481 4.0646
F 3.7629 -0.8481 9.1990
```

Principal peaks in the range 2θ from 15° to 90°, in order of falling intensity:
2θ 25.58, I 100.0; 2θ 24.43, I 82.0; 2θ 20.40, I 40.3; 2θ 29.44, I 39.1; 2θ 21.31, I 29.6; 2θ 33.73, I 23.9


(3)
The following is a theoretical X-ray powder pattern of Ag3BiSe3. It was derived from a crystal structure in Alexandria, relaxed with PBE, using Cu Kα (λ = 1.5418 Å).
Peak positions follow from Bragg's law for the DFT cell and can differ from measured ones.

Structure:
```
14
Lattice="3.7844 2.1849 7.1613 -3.7844 2.1849 7.1613 0.0000 -4.3698 7.1613" Properties=species:S:1:pos:R:3 pbc="T T T"
Ag -1.3724 -2.2808 7.9361
Ag -2.6614 0.0481 13.5477
Ag -1.2890 2.3289 7.9361
Ag 1.2890 -2.3289 13.5477
Ag 2.6614 -0.0481 7.9361
Ag 1.3724 2.2808 13.5477
Bi 0.0000 0.0000 3.6048
Bi 0.0000 0.0000 17.8789
Se -2.5202 -0.0156 9.1456
Se -1.2466 -2.1904 12.3381
Se 1.2736 -2.1748 9.1456
Se -1.2736 2.1748 12.3381
Se 1.2466 2.1904 9.1456
Se 2.5202 0.0156 12.3381
```

Principal peaks in the range 2θ from 15° to 90°, in order of falling intensity:
2θ 34.48, I 100.0; 2θ 26.64, I 90.7; 2θ 41.32, I 83.0; 2θ 44.89, I 50.0; 2θ 54.88, I 24.6; 2θ 70.95, I 21.0


(4)
The following is a theoretical X-ray powder pattern of Pa3Ge. It was derived from a crystal structure in Alexandria, relaxed with PBE, using Cu Kα (λ = 1.5418 Å).
Peak positions follow from Bragg's law for the DFT cell and can differ from measured ones.

Structure:
```
4
Lattice="-1.5858 5.2681 2.7414 1.5858 -5.2681 2.7414 1.5858 5.2681 -2.7414" Properties=species:S:1:pos:R:3 pbc="T T T"
Pa 0.0000 0.0000 0.0000
Pa 1.5858 2.7778 0.9819
Pa 0.0000 2.4903 3.7234
Ge 1.5858 0.0000 2.6696
```

Principal peaks in the range 2θ from 15° to 90°, in order of falling intensity:
2θ 36.94, I 100.0; 2θ 32.63, I 26.3; 2θ 34.04, I 26.0; 2θ 62.83, I 19.8; 2θ 58.23, I 18.2; 2θ 47.87, I 16.8